Entry 1:
Li2MnFeP2O8: theoretical powder X-ray diffraction pattern (Cu Kα), based on the GGA+U geometry in the Materials Project.
Kinematic intensities with the Lorentz-polarization factor, no thermal factor.

Cell and atoms:
```
Li2MnFeP2O8
1.0
9.5416 0.0000 0.0000
0.0000 6.1306 0.0000
-0.0125 0.0000 10.5055
Li Mn Fe P O
8 4 4 8 32
Direct
0.0000 0.2494 0.0000
0.0000 0.7506 0.0000
0.2499 0.2491 0.5003
0.2499 0.7509 0.5003
0.4999 0.2494 0.0000
0.4999 0.7506 0.0000
0.7498 0.2496 0.4997
0.7498 0.7504 0.4997
0.0123 0.5000 0.7184
0.2373 0.5000 0.2185
0.5126 0.5000 0.7184
0.9874 0.0000 0.2811
0.2635 0.0000 0.7816
0.4868 0.0000 0.2819
0.7360 0.5000 0.2184
0.7634 0.0000 0.7816
0.0441 0.0000 0.5944
0.2078 0.0000 0.0922
0.2922 0.5000 0.9067
0.4584 0.5000 0.4061
0.5439 0.0000 0.5935
0.7065 0.0000 0.0932
0.7916 0.5000 0.9076
0.9547 0.5000 0.4062
0.1048 0.0000 0.4567
0.1119 0.2013 0.6635
0.1119 0.7987 0.6635
0.1165 0.5000 0.4036
0.1309 0.5000 0.9047
0.1401 0.2014 0.1616
0.1401 0.7986 0.1616
0.1466 0.0000 0.9546
0.3560 0.5000 0.0429
0.3572 0.2973 0.8363
0.3572 0.7027 0.8363
0.3688 0.0000 0.0969
0.3825 0.0000 0.5974
0.3925 0.2970 0.3362
0.3925 0.7030 0.3362
0.3949 0.5000 0.5424
0.6034 0.0000 0.4554
0.6119 0.2010 0.6628
0.6119 0.7990 0.6628
0.6192 0.5000 0.4036
0.6306 0.5000 0.9045
0.6408 0.2023 0.1638
0.6408 0.7977 0.1638
0.6450 0.0000 0.9561
0.8542 0.5000 0.0445
0.8571 0.2974 0.8372
0.8571 0.7026 0.8372
0.8680 0.0000 0.0957
0.8829 0.0000 0.5974
0.8880 0.2989 0.3363
0.8880 0.7011 0.3363
0.8943 0.5000 0.5435
```

Peak list (10 most intense, 10° ≤ 2θ ≤ 80°, in order of falling intensity)
- d 2.564, I 100, (2 1 -3)
- d 3.543, I 82, (2 1 -1)
- d 3.065, I 77, (0 2 0)
- d 4.344, I 59, (2 0 1)
- d 1.772, I 35, (4 2 2)
- d 2.505, I 30, (2 2 1)
- d 5.253, I 28, (0 0 2)
- d 2.823, I 27, (2 0 3)
- d 1.655, I 24, (2 3 -3)
- d 2.414, I 21, (0 1 4)

---

Entry 2:
Pr2Te4MoO14: theoretical powder X-ray diffraction pattern (Cu Kα), based on the GGA+U geometry in the Materials Project.
Kinematic intensities with the Lorentz-polarization factor, no thermal factor.

Cell and atoms:
```
Pr2Te4MoO14
1.0
7.0845 0.0000 0.0000
-0.5817 10.1792 0.0000
-3.0619 -0.1928 9.8626
Pr Te Mo O
4 8 2 28
Direct
0.1440 0.3077 0.0860
0.2798 0.5350 0.7851
0.7202 0.4650 0.2149
0.8560 0.6923 0.9140
0.1380 0.2725 0.4582
0.2421 0.6086 0.2793
0.4247 0.8337 0.6313
0.4430 0.7891 0.0429
0.5570 0.2109 0.9571
0.5753 0.1663 0.3687
0.7579 0.3914 0.7207
0.8620 0.7275 0.5418
0.0231 0.0377 0.7678
0.9769 0.9623 0.2322
0.0011 0.5832 0.1348
0.0852 0.3950 0.3122
0.0940 0.1206 0.9309
0.1124 0.8592 0.3607
0.1236 0.1154 0.2335
0.1937 0.3912 0.6030
0.2069 0.7046 0.9313
0.2127 0.7045 0.6003
0.2460 0.0003 0.7304
0.3689 0.7645 0.2091
0.3793 0.4910 0.2036
0.3969 0.3542 0.9511
0.4289 0.2771 0.4591
0.4751 0.2260 0.1878
0.5249 0.7740 0.8122
0.5711 0.7229 0.5409
0.6031 0.6458 0.0489
0.6207 0.5090 0.7964
0.6311 0.2355 0.7909
0.7540 0.9997 0.2696
0.7873 0.2955 0.3997
0.7931 0.2954 0.0687
0.8063 0.6088 0.3970
0.8764 0.8846 0.7665
0.8876 0.1408 0.6393
0.9060 0.8794 0.0691
0.9148 0.6050 0.6878
0.9989 0.4168 0.8652
```

Peak list (10 most intense, 10° ≤ 2θ ≤ 80°, in order of falling intensity)
- d 3.576, I 100, (0 2 -2)
- d 3.076, I 88, (2 1 -2)
- d 3.264, I 87, (2 -1 0)
- d 3.278, I 52, (1 1 2)
- d 3.495, I 49, (-1 2 2)
- d 2.961, I 41, (1 3 0)
- d 3.215, I 28, (-1 1 3)
- d 2.014, I 25, (3 2 0)
- d 3.450, I 24, (1 2 1)
- d 2.024, I 22, (1 1 -5)

---

Entry 3:
Li2FeF4: theoretical powder X-ray diffraction pattern (Cu Kα), based on the GGA+U geometry in the Materials Project.
Kinematic intensities with the Lorentz-polarization factor, no thermal factor.

Cell and atoms:
```
Li2FeF4
1.0
5.1942 0.0000 0.0000
0.0000 3.1371 0.0000
-4.3912 0.0000 9.7765
Li Fe F
4 2 8
Direct
0.1752 0.1109 0.4325
0.1752 0.8891 0.9325
0.8248 0.1109 0.0675
0.8248 0.8891 0.5675
0.5000 0.4029 0.7500
0.5000 0.5971 0.2500
0.2327 0.0973 0.1206
0.2327 0.9027 0.6206
0.2863 0.3834 0.8691
0.2863 0.6166 0.3691
0.7137 0.3834 0.6309
0.7137 0.6166 0.1309
0.7673 0.0973 0.3794
0.7673 0.9027 0.8794
```

Peak list (10 most intense, 10° ≤ 2θ ≤ 80°, in order of falling intensity)
- d 4.738, I 100, (1 0 0)
- d 4.888, I 86, (0 0 2)
- d 4.428, I 79, (1 0 -2)
- d 2.116, I 63, (1 1 2)
- d 2.214, I 54, (2 0 -4)
- d 1.549, I 50, (0 2 1)
- d 2.616, I 47, (1 1 0)
- d 2.395, I 45, (1 1 1)
- d 2.640, I 41, (0 1 2)
- d 2.866, I 37, (1 0 2)